Structure and simulated PXRD pattern of Ba3Cr2MoO9 (a DFT-relaxed cell (PBE+U, the Materials Project); copper Kα).
Intensities are scaled so that the largest is 100.

Structure:
Cell: 5.7972 5.7972 14.2434 Å, 90.00 90.00 120.00°
Space group P6_3/mmc (No. 194)
One atom of each set of equivalent atoms:
Ba  0.0000  0.0000  0.2500 x2
Ba  0.3333  0.6667  0.1022 x4
Cr  0.3333  0.6667  0.6594 x4
Mo  0.0000  0.0000  0.0000 x2
O  0.0307  0.5154  0.7500 x6
O  0.1604  0.3209  0.5783 x12

Peak list (10 most intense, 15 to 90 degrees two-theta, most intense first)
30.8°, rel. 100, (1 1 0)
54.8°, rel. 28, (3 0 0)
44.1°, rel. 25, (2 0 4)
25.8°, rel. 18, (1 0 3)
40.7°, rel. 14, (2 0 3)
64.3°, rel. 11, (2 2 0)
48.3°, rel. 9, (1 0 7)
72.9°, rel. 8, (3 1 4)
67.5°, rel. 6, (2 1 7)
89.4°, rel. 6, (4 1 0)

---

Structure and simulated PXRD pattern of Li3Mn4O8 (a DFT-relaxed cell (PBE+U, the Materials Project); copper Kα).
Intensities are scaled so that the largest is 100.

Structure:
Cell: 5.8277 5.8309 10.8784 Å, 75.12 75.19 61.18°
Space group P-1 (No. 2)
One atom of each set of equivalent atoms:
Li  0.0000  0.0000  0.0000 x1
Li  0.0645  0.0675  0.7875 x2
Li  0.4322  0.4382  0.7122 x2
Li  0.5000  0.5000  0.5000 x1
Mn  0.0000  0.0000  0.5000 x1
Mn  0.0000  0.5000  0.0000 x1
Mn  0.0000  0.5000  0.5000 x1
Mn  0.2473  0.2486  0.2495 x2
Mn  0.5000  0.0000  0.0000 x1
Mn  0.5000  0.0000  0.5000 x1
Mn  0.5000  0.5000  0.0000 x1
O  0.1148  0.6458  0.6036 x2
O  0.1462  0.6126  0.1040 x2
O  0.1475  0.1337  0.1021 x2
O  0.1512  0.0988  0.6038 x2
O  0.3561  0.8838  0.3958 x2
O  0.3632  0.3526  0.3974 x2
O  0.3842  0.8558  0.8959 x2
O  0.3992  0.3492  0.8965 x2

Peak list (10 most intense, 15 to 90 degrees two-theta, most intense first)
17.1°, rel. 100, (0 0 2)
18.3°, rel. 96, (1 0 1)
42.2°, rel. 95, (2 0 -2)
43.1°, rel. 45, (2 2 4)
18.5°, rel. 40, (1 1 0)
59.8°, rel. 28, (2 2 -4)
63.9°, rel. 26, (4 2 2)
35.2°, rel. 21, (2 1 -1)
34.8°, rel. 20, (1 -1 2)
35.5°, rel. 18, (1 2 3)

---

Structure and simulated PXRD pattern of Li9Mn2Co5O16 (a DFT-relaxed cell (PBE+U, the Materials Project); copper Kα).
Intensities are scaled so that the largest is 100.

Structure:
Cell: 9.7633 2.9288 10.2311 Å, 90.00 100.32 90.00°
Space group P2/m (No. 10)
One atom of each set of equivalent atoms:
Li  0.0000  0.0000  0.0000 x1
Li  0.0000  0.0000  0.5000 x1
Li  0.2521  0.5000  0.1269 x2
Li  0.2564  0.5000  0.6224 x2
Li  0.4948  0.0000  0.7409 x2
Li  0.5000  0.5000  0.5000 x1
Mn  0.2579  0.0000  0.3824 x2
Co  0.0012  0.5000  0.2493 x2
Co  0.2493  0.0000  0.8749 x2
Co  0.5000  0.5000  0.0000 x1
O  0.1148  0.0000  0.6957 x2
O  0.1247  0.0000  0.2022 x2
O  0.1297  0.5000  0.9307 x2
O  0.1366  0.5000  0.4284 x2
O  0.3601  0.5000  0.3190 x2
O  0.3630  0.0000  0.5484 x2
O  0.3674  0.5000  0.8195 x2
O  0.3821  0.0000  0.0553 x2

Peak list (10 most intense, 15 to 90 degrees two-theta, most intense first)
18.4°, rel. 100, (1 0 -2)
43.5°, rel. 82, (3 1 -2)
35.9°, rel. 40, (3 0 2)
63.1°, rel. 22, (1 1 -6)
63.4°, rel. 15, (5 1 2)
57.4°, rel. 14, (4 1 -4)
37.5°, rel. 11, (4 0 0)
66.6°, rel. 9, (6 1 0)
47.6°, rel. 9, (0 1 4)
63.5°, rel. 8, (0 2 0)

---

Structure and simulated PXRD pattern of SrDyFe4O12 (a DFT-relaxed cell (PBE+U, the Materials Project); copper Kα).
Intensities are scaled so that the largest is 100.

Structure:
Cell: 7.5856 7.6059 7.6445 Å, 90.00 90.00 90.00°
Space group Cmmm (No. 65)
One atom of each set of equivalent atoms:
Sr  0.0000  0.0000  0.0000 x2
Dy  0.0000  0.5000  0.5000 x2
Fe  0.2500  0.2500  0.2492 x8
O  0.0000  0.2438  0.2620 x8
O  0.2275  0.5000  0.2671 x8
O  0.2500  0.2500  0.0000 x4
O  0.2500  0.2500  0.5000 x4

Peak list (10 most intense, 15 to 90 degrees two-theta, most intense first)
20.2°, rel. 100, (1 1 1)
33.3°, rel. 80, (0 2 2)
33.4°, rel. 41, (2 2 0)
39.3°, rel. 36, (1 3 1)
59.6°, rel. 31, (4 2 2)
39.1°, rel. 18, (1 1 3)
47.8°, rel. 18, (0 4 0)
47.6°, rel. 18, (0 0 4)
48.0°, rel. 17, (4 0 0)
59.4°, rel. 16, (2 2 4)